No. 1
Simulated XRD peak list
Compound: Tm4TlSnB2
Radiation: Cu Kα
Structure: a DFT-relaxed cell (PBE, OQMD)

The 8 most intense peaks (2θ from 10° to 90°), by angle:
two_theta  I/Imax
28.69  233
32.66  210
33.10  1000
44.02  163
50.82  211
58.57  175
61.73  208
62.00  169

```
data_Tm4TlSnB2
_chemical_formula_sum 'Tm4 Tl1 Sn1 B2'
_space_group_name_H-M_alt 'P 1'
_space_group_IT_number 1
_cell_length_a 3.5932
_cell_length_b 3.5932
_cell_length_c 16.4487
_cell_angle_alpha 90.00
_cell_angle_beta 90.00
_cell_angle_gamma 120.00
loop_
_space_group_symop_operation_xyz
'x,y,z'
loop_
_atom_site_label
_atom_site_fract_x
_atom_site_fract_y
_atom_site_fract_z
_atom_site_occupancy
Tm1 0.0000 0.0000 0.1560 1
Tm2 0.0000 0.0000 0.8440 1
Tm3 0.3333 0.6667 0.3396 1
Tm4 0.3333 0.6667 0.6604 1
Tl1 0.0000 0.0000 0.5000 1
Sn1 0.3333 0.6667 0.0000 1
B1 0.6667 0.3333 0.2475 1
B2 0.6667 0.3333 0.7525 1
```



No. 2
Simulated XRD peak list
Compound: Dy2ErMg3Ir3
Radiation: Cu Kα
Structure: a DFT-relaxed cell (PBE, OQMD)

The 8 most intense peaks (2θ from 10° to 90°), by angle:
two_theta  I/Imax
24.62  518
26.20  272
33.21  717
36.26  1000
43.33  400
44.32  371
64.06  253
69.39  267

```
data_Dy2ErMg3Ir3
_chemical_formula_sum 'Dy2 Er1 Mg3 Ir3'
_space_group_name_H-M_alt 'P 1'
_space_group_IT_number 1
_cell_length_a 4.0498
_cell_length_b 7.2312
_cell_length_c 7.2312
_cell_angle_alpha 119.95
_cell_angle_beta 90.00
_cell_angle_gamma 90.00
loop_
_space_group_symop_operation_xyz
'x,y,z'
loop_
_atom_site_label
_atom_site_fract_x
_atom_site_fract_y
_atom_site_fract_z
_atom_site_occupancy
Dy1 0.0000 0.2045 0.7955 1
Dy2 0.0000 0.7955 0.2045 1
Er1 0.0000 0.6124 0.6124 1
Mg1 0.5000 0.2051 0.4502 1
Mg2 0.5000 0.4502 0.2051 1
Mg3 0.5000 0.9588 0.9588 1
Ir1 0.0000 0.2058 0.2058 1
Ir2 0.5000 0.5385 0.8698 1
Ir3 0.5000 0.8698 0.5385 1
```



No. 3
Simulated XRD peak list
Compound: DyHo2ErCd2
Radiation: Cu Kα
Structure: a DFT-relaxed cell (PBE, OQMD)

The 8 most intense peaks (2θ from 10° to 90°), by angle:
two_theta  I/Imax
31.69  204
33.45  287
33.72  1000
35.96  138
46.75  138
50.08  92
59.97  189
61.57  98

```
data_DyHo2ErCd2
_chemical_formula_sum 'Dy2 Ho4 Er2 Cd4'
_space_group_name_H-M_alt 'P 1'
_space_group_IT_number 1
_cell_length_a 5.3577
_cell_length_b 3.6427
_cell_length_c 16.9388
_cell_angle_alpha 90.00
_cell_angle_beta 90.00
_cell_angle_gamma 90.00
loop_
_space_group_symop_operation_xyz
'x,y,z'
loop_
_atom_site_label
_atom_site_fract_x
_atom_site_fract_y
_atom_site_fract_z
_atom_site_occupancy
Dy1 0.0000 0.0000 0.0000 1
Dy2 0.0000 0.5000 0.5000 1
Ho1 0.0000 0.0000 0.3140 1
Ho2 0.0000 0.5000 0.8140 1
Ho3 0.5000 0.0000 0.8647 1
Ho4 0.5000 0.5000 0.3647 1
Er1 0.5000 0.0000 0.1793 1
Er2 0.5000 0.5000 0.6793 1
Cd1 0.0000 0.0000 0.6571 1
Cd2 0.0000 0.5000 0.1571 1
Cd3 0.5000 0.0000 0.5231 1
Cd4 0.5000 0.5000 0.0231 1
```